The following is a theoretical X-ray powder pattern of LaErCoNi. It was derived from DFT lattice parameters and positions (GGA-PBE), using Cu Kα (λ = 1.5418 Å).
No peak broadening, texture or thermal motion is included.

Crystal structure
Unit cell a=6.845 b=6.845 c=6.845 alpha=90.00 beta=90.00 gamma=90.00
Fractional positions:
La  0.000  0.000  0.000
La  0.000  0.500  0.500
La  0.500  0.000  0.500
La  0.500  0.500  0.000
Er  0.000  0.000  0.500
Er  0.000  0.500  0.000
Er  0.500  0.000  0.000
Er  0.500  0.500  0.500
Co  0.250  0.250  0.750
Co  0.250  0.750  0.250
Co  0.750  0.250  0.250
Co  0.750  0.750  0.750
Ni  0.250  0.250  0.250
Ni  0.250  0.750  0.750
Ni  0.750  0.250  0.750
Ni  0.750  0.750  0.250

Peak list (9 most intense, 10 to 80 degrees two-theta, sorted by position)
Position (°2θ)	Rel. int.
22.50	1.0
26.04	20.5
37.15	100.0
43.87	0.6
45.93	6.2
53.55	17.1
60.49	8.6
66.97	34.3
79.15	10.6


The following is a theoretical X-ray powder pattern of LiEr3Co2. It was derived from DFT lattice parameters and positions (GGA-PBE), using Cu Kα (λ = 1.5418 Å).
No peak broadening, texture or thermal motion is included.

Crystal structure
Unit cell a=3.323 b=3.323 c=11.265 alpha=90.00 beta=90.00 gamma=90.00
Fractional positions:
Li  0.000  0.000  0.000
Er  0.500  0.500  0.210
Er  0.500  0.500  0.500
Er  0.500  0.500  0.790
Co  0.000  0.000  0.346
Co  0.000  0.000  0.654

Peak list (12 most intense, 10 to 80 degrees two-theta, sorted by position)
Position (°2θ)	Rel. int.
15.73	19.3
23.69	18.9
26.83	53.9
36.09	100.0
38.31	62.3
42.06	45.9
45.54	14.0
55.29	21.3
64.32	10.8
67.83	30.9
70.99	18.2
71.83	18.4


The following is a theoretical X-ray powder pattern of Er11Mg9Co4. It was derived from DFT lattice parameters and positions (GGA-PBE), using Cu Kα (λ = 1.5418 Å).
No peak broadening, texture or thermal motion is included.

Crystal structure
Unit cell a=13.073 b=13.073 c=3.609 alpha=90.00 beta=90.00 gamma=113.60
Fractional positions:
Er  0.000  0.000  0.000
Er  0.095  0.420  0.000
Er  0.155  0.845  0.000
Er  0.311  0.311  0.000
Er  0.371  0.629  0.000
Er  0.420  0.095  0.000
Er  0.580  0.905  0.000
Er  0.629  0.371  0.000
Er  0.689  0.689  0.000
Er  0.845  0.155  0.000
Er  0.905  0.580  0.000
Mg  0.077  0.219  0.500
Mg  0.148  0.636  0.500
Mg  0.219  0.077  0.500
Mg  0.364  0.852  0.500
Mg  0.500  0.500  0.500
Mg  0.636  0.148  0.500
Mg  0.781  0.923  0.500
Mg  0.852  0.364  0.500
Mg  0.923  0.781  0.500
Co  0.262  0.454  0.500
Co  0.454  0.262  0.500
Co  0.546  0.738  0.500
Co  0.738  0.546  0.500

Peak list (12 most intense, 10 to 80 degrees two-theta, sorted by position)
Position (°2θ)	Rel. int.
16.20	27.1
19.04	38.4
24.41	42.7
24.67	60.8
24.88	40.7
34.98	100.0
35.13	75.5
35.32	95.5
37.39	41.7
39.08	33.2
50.58	26.0
63.08	27.9


What did the second record say?
The following is a theoretical X-ray powder pattern of LiEr3Co2. It was derived from DFT lattice parameters and positions (GGA-PBE), using Cu Kα (λ = 1.5418 Å).
No peak broadening, texture or thermal motion is included.

Crystal structure
Unit cell a=3.323 b=3.323 c=11.265 alpha=90.00 beta=90.00 gamma=90.00
Fractional positions:
Li  0.000  0.000  0.000
Er  0.500  0.500  0.210
Er  0.500  0.500  0.500
Er  0.500  0.500  0.790
Co  0.000  0.000  0.346
Co  0.000  0.000  0.654

Peak list (12 most intense, 10 to 80 degrees two-theta, sorted by position)
Position (°2θ)	Rel. int.
15.73	19.3
23.69	18.9
26.83	53.9
36.09	100.0
38.31	62.3
42.06	45.9
45.54	14.0
55.29	21.3
64.32	10.8
67.83	30.9
70.99	18.2
71.83	18.4


- Number 2 is which compound?
  LiEr3Co2